No. 1
For AsPd9, a GGA-PBE-relaxed structure gives the calculated powder X-ray diffraction pattern in this record (Cu Kα).
Lines closer than 0.1° are merged.

The 10 most intense peaks (2θ = 15–90°), in order of rising 2θ:
2theta  I_rel  index
38.9  47  1 0 12
40.1  100  1 0 13
45.5  49  1 1 0
46.8  14  0 0 25
66.3  15  2 0 0
67.3  19  1 1 25
68.9  10  1 1 26
79.6  11  2 1 12
80.4  25  2 1 13
82.9  14  1 0 38

Cell: 2.8194 2.8194 48.5685 Å, 90.00 90.00 90.00°
Fractional positions:
As1 0.2500 0.2500 0.1278
As2 0.7500 0.7500 0.8722
Pd1 0.2500 0.2500 0.2041
Pd2 0.2500 0.2500 0.2837
Pd3 0.2500 0.2500 0.3626
Pd4 0.2500 0.2500 0.4412
Pd5 0.2500 0.2500 0.5196
Pd6 0.2500 0.2500 0.5980
Pd7 0.2500 0.2500 0.6768
Pd8 0.2500 0.2500 0.7559
Pd9 0.2500 0.2500 0.8375
Pd10 0.7500 0.7500 0.1625
Pd11 0.7500 0.7500 0.2441
Pd12 0.7500 0.7500 0.3232
Pd13 0.7500 0.7500 0.4020
Pd14 0.7500 0.7500 0.4804
Pd15 0.7500 0.7500 0.5588
Pd16 0.7500 0.7500 0.6374
Pd17 0.7500 0.7500 0.7163
Pd18 0.7500 0.7500 0.7959

---

No. 2
For AsPd15, a GGA-PBE-relaxed structure gives the calculated powder X-ray diffraction pattern in this record (Cu Kα).
Lines closer than 0.1° are merged.

The 10 most intense peaks (2θ = 15–90°), in order of rising 2θ:
2theta  I_rel  index
39.3  100  0 1 11
39.7  97  2 0 11
40.6  37  0 1 12
40.9  36  2 0 12
45.0  25  0 0 22
46.4  87  2 1 0
66.7  30  2 1 22
68.3  29  2 1 23
81.0  24  2 2 11
81.8  34  4 1 11

Cell: 5.4952 2.7841 44.3210 Å, 90.00 90.01 90.00°
Fractional positions:
As1 0.1249 0.2500 0.3284
As2 0.8751 0.7500 0.6716
Pd1 0.1245 0.2500 0.7095
Pd2 0.1250 0.2500 0.0664
Pd3 0.1250 0.2500 0.1550
Pd4 0.1250 0.2500 0.2444
Pd5 0.1246 0.2500 0.8004
Pd6 0.1250 0.2500 0.8893
Pd7 0.1250 0.2500 0.9778
Pd8 0.3744 0.7500 0.2905
Pd9 0.3750 0.7500 0.0222
Pd10 0.3750 0.7500 0.1107
Pd11 0.3746 0.7500 0.1996
Pd12 0.3749 0.7500 0.6638
Pd13 0.3750 0.7500 0.7553
Pd14 0.3750 0.7500 0.8449
Pd15 0.3750 0.7500 0.9335
Pd16 0.6250 0.2500 0.0665
Pd17 0.6250 0.2500 0.1551
Pd18 0.6250 0.2500 0.2447
Pd19 0.6251 0.2500 0.3362
Pd20 0.6254 0.2500 0.8004
Pd21 0.6250 0.2500 0.8893
Pd22 0.6250 0.2500 0.9778
Pd23 0.6256 0.2500 0.7095
Pd24 0.8750 0.7500 0.0222
Pd25 0.8750 0.7500 0.1107
Pd26 0.8754 0.7500 0.1996
Pd27 0.8750 0.7500 0.7556
Pd28 0.8750 0.7500 0.8450
Pd29 0.8750 0.7500 0.9336
Pd30 0.8755 0.7500 0.2905

---

No. 3
For AsPd17, a GGA-PBE-relaxed structure gives the calculated powder X-ray diffraction pattern in this record (Cu Kα).
Lines closer than 0.1° are merged.

The 10 most intense peaks (2θ = 15–90°), in order of rising 2θ:
2theta  I_rel  index
38.5  52  0 0 12
39.8  100  1 2 -4
40.0  50  2 0 4
41.0  16  1 2 -5
46.0  97  1 2 8
48.0  18  2 0 -9
66.1  19  1 2 -16
68.1  24  3 2 0
79.2  16  1 2 20
81.1  23  3 2 12

Cell: 4.7633 5.5242 28.0644 Å, 90.00 90.07 90.00°
Fractional positions:
As1 0.1647 0.2500 0.1799
As2 0.8353 0.7500 0.8201
Pd1 0.0000 0.0000 0.5000
Pd2 0.0000 0.5000 0.5000
Pd3 0.0045 0.0005 0.7473
Pd4 0.0045 0.4995 0.7473
Pd5 0.1644 0.2500 0.4182
Pd6 0.1644 0.7500 0.4176
Pd7 0.1648 0.7500 0.1700
Pd8 0.1712 0.7500 0.6646
Pd9 0.1717 0.2500 0.6644
Pd10 0.3279 0.0002 0.3357
Pd11 0.3279 0.4998 0.3357
Pd12 0.3356 0.9996 0.5822
Pd13 0.3356 0.5004 0.5822
Pd14 0.3367 0.5021 0.8299
Pd15 0.3367 0.9979 0.8299
Pd16 0.4939 0.2500 0.2530
Pd17 0.4974 0.7500 0.2535
Pd18 0.4991 0.7500 0.4998
Pd19 0.5009 0.2500 0.5002
Pd20 0.5026 0.2500 0.7465
Pd21 0.5061 0.7500 0.7470
Pd22 0.6633 0.0021 0.1701
Pd23 0.6633 0.4979 0.1701
Pd24 0.6644 0.0004 0.4178
Pd25 0.6644 0.4996 0.4178
Pd26 0.6721 0.9998 0.6643
Pd27 0.6721 0.5002 0.6643
Pd28 0.8283 0.7500 0.3356
Pd29 0.8288 0.2500 0.3354
Pd30 0.8352 0.2500 0.8300
Pd31 0.8356 0.2500 0.5824
Pd32 0.8356 0.7500 0.5818
Pd33 0.9955 0.9995 0.2527
Pd34 0.9955 0.5005 0.2527

---

No. 4
For As2Pd9, a GGA-PBE-relaxed structure gives the calculated powder X-ray diffraction pattern in this record (Cu Kα).
Lines closer than 0.1° are merged.

The 10 most intense peaks (2θ = 15–90°), in order of rising 2θ:
2theta  I_rel  index
38.5  45  1 0 4
39.5  100  1 0 5
39.8  35  0 0 14
45.1  56  0 1 9
46.9  37  0 1 10
66.1  29  1 1 0
68.0  21  1 0 19
79.8  20  0 2 5
80.0  26  1 1 14
83.6  9  2 0 9

Cell: 2.8266 2.8266 31.6826 Å, 90.00 90.00 120.00°
Fractional positions:
As1 0.3333 0.6667 0.3488
As2 0.6667 0.3333 0.6512
Pd1 0.0000 0.0000 0.0000
Pd2 0.0000 0.0000 0.2133
Pd3 0.0000 0.0000 0.7867
Pd4 0.3333 0.6667 0.1419
Pd5 0.3333 0.6667 0.7144
Pd6 0.3333 0.6667 0.9290
Pd7 0.6667 0.3333 0.0710
Pd8 0.6667 0.3333 0.2856
Pd9 0.6667 0.3333 0.8581